Li4Mn3CoO8: simulated PXRD pattern (Cu Ka), based on a GGA+U-relaxed structure.

Main lines, most intense first (10 to 90 degrees two-theta):
h k l  2θ (°)  d [Å]  I (rel.)
1 0 -1  18.2  4.885  100
1 1 -3  41.8  2.162  60
0 1 2  34.5  2.598  34
2 0 2  44.7  2.029  23
1 1 5  63.0  1.475  14
3 1 -1  62.6  1.484  14
1 0 3  36.5  2.463  11
2 1 -4  55.4  1.659  9

Structural model:
```
data_Li4Mn3CoO8
_symmetry_space_group_name_H-M 'P 1 2/m 1'
_symmetry_Int_Tables_number 10
_cell_length_a 5.0912
_cell_length_b 3.0786
_cell_length_c 9.9444
_cell_angle_alpha 90.00
_cell_angle_beta 103.07
_cell_angle_gamma 90.00
loop_
_symmetry_equiv_pos_as_xyz
'x,y,z'
'-x,-y,-z'
'-x,y,-z'
'x,-y,z'
loop_
_atom_site_label
_atom_site_fract_x
_atom_site_fract_y
_atom_site_fract_z
Li1 0.0000 0.0000 0.0000
Li2 0.2494 0.5000 0.2497
Li3 0.5000 0.0000 0.5000
Mn1 0.0000 0.5000 0.5000
Mn2 0.2499 0.0000 0.7519
Co1 0.5000 0.5000 0.0000
O1 0.1028 0.0000 0.3715
O2 0.1472 0.5000 0.8784
O3 0.3521 0.5000 0.6234
O4 0.3992 0.0000 0.1246
```

Li5Mn2CoO8: simulated PXRD pattern (Cu Ka), based on a GGA+U-relaxed structure.

Main lines, most intense first (10 to 90 degrees two-theta):
h k l  2θ (°)  d [Å]  I (rel.)
1 0 0  18.6  4.778  100
1 -2 2  43.5  2.080  32
-1 1 3  44.0  2.057  31
2 3 1  44.4  2.042  30
-2 3 1  63.8  1.459  16
0 1 1  16.1  5.512  15
0 2 -2  35.8  2.508  14
0 1 3  36.3  2.474  12

Structural model:
```
data_Li5Mn2CoO8
_symmetry_space_group_name_H-M 'P -1'
_symmetry_Int_Tables_number 2
_cell_length_a 5.0507
_cell_length_b 7.6498
_cell_length_c 7.7086
_cell_angle_alpha 83.02
_cell_angle_beta 84.11
_cell_angle_gamma 71.49
loop_
_symmetry_equiv_pos_as_xyz
'x,y,z'
'-x,-y,-z'
loop_
_atom_site_label
_atom_site_fract_x
_atom_site_fract_y
_atom_site_fract_z
Li1 0.0014 0.4393 0.1835
Li2 0.0005 0.9429 0.6855
Li3 0.0061 0.1912 0.9279
Li4 0.0071 0.6941 0.4249
Li5 0.4985 0.2496 0.7514
Mn1 0.4926 0.8789 0.8754
Mn2 0.4963 0.6253 0.6243
Co1 0.5000 0.0000 0.5000
Co2 0.5000 0.5000 0.0000
O1 0.2643 0.7262 0.8296
O2 0.2677 0.0800 0.7256
O3 0.2715 0.4782 0.5768
O4 0.2734 0.9776 0.0799
O5 0.2769 0.8377 0.4775
O6 0.2776 0.2172 0.3358
O7 0.2840 0.5721 0.2157
O8 0.2852 0.3376 0.9817
```

Li4MnCo2O7: simulated PXRD pattern (Cu Ka), based on a GGA+U-relaxed structure.

Main lines, most intense first (10 to 90 degrees two-theta):
h k l  2θ (°)  d [Å]  I (rel.)
1 -1 0  18.3  4.852  100
2 0 1  43.3  2.092  29
-2 1 3  43.5  2.082  28
0 3 -2  44.0  2.059  27
1 0 -3  35.9  2.503  27
1 2 -2  36.3  2.472  13
1 -2 3  47.6  1.912  9
-2 4 1  63.1  1.473  8

Structural model:
```
data_Li4MnCo2O7
_symmetry_space_group_name_H-M 'P 1'
_symmetry_Int_Tables_number 1
_cell_length_a 5.9204
_cell_length_b 6.5448
_cell_length_c 7.7334
_cell_angle_alpha 104.06
_cell_angle_beta 111.63
_cell_angle_gamma 104.09
loop_
_symmetry_equiv_pos_as_xyz
'x,y,z'
loop_
_atom_site_label
_atom_site_fract_x
_atom_site_fract_y
_atom_site_fract_z
Li1 0.0000 0.0000 0.0000
Li2 0.0681 0.5827 0.8590
Li3 0.2105 0.7114 0.5719
Li4 0.3494 0.8584 0.2781
Li5 0.4875 0.0005 0.9939
Li6 0.6526 0.1451 0.7234
Li7 0.7784 0.2846 0.4269
Li8 0.9225 0.4247 0.1362
Mn1 0.2785 0.2812 0.4239
Mn2 0.8532 0.8594 0.2823
Co1 0.1362 0.1384 0.7193
Co2 0.4062 0.4187 0.1334
Co3 0.5772 0.5760 0.8610
Co4 0.7087 0.7177 0.5760
O1 0.0555 0.3024 0.9324
O2 0.0974 0.8677 0.7734
O3 0.1872 0.4080 0.6350
O4 0.2227 0.0055 0.4816
O5 0.3177 0.5505 0.3603
O6 0.3880 0.1646 0.2284
O7 0.4902 0.7254 0.0832
O8 0.5249 0.2946 0.9236
O9 0.6036 0.8348 0.7721
O10 0.6474 0.4223 0.6294
O11 0.7599 0.9899 0.4925
O12 0.7995 0.5924 0.3540
O13 0.9116 0.1366 0.2301
O14 0.9428 0.7196 0.0809
```